Entry 1:
Simulated X-ray powder pattern
Compound: HfScFe
Radiation: Cu Kα
Structure: the PBE geometry in Alexandria

Atomic structure:
abc: 8.318 9.111 12.371
angles: 90.00 90.00 90.00
Space group Fddd (No. 70, origin choice 2)
Inequivalent atoms, fractional coordinates:
Hf: 0.125 0.125 0.251 (multiplicity 16)
Sc: 0.125 0.125 0.501 (multiplicity 16)
Fe: 0.125 0.361 0.125 (multiplicity 16)

Principal peaks in the range 2θ = 5–70°, sorted by position:
16.11 deg, 5.502 Å, I = 61.8, (1 1 1); 26.03 deg, 3.424 Å, I = 17.4, (1 1 3); 28.87 deg, 3.093 Å, I = 22.3, (0 0 4); 29.07 deg, 3.071 Å, I = 44.3, (2 2 0); 34.59 deg, 2.593 Å, I = 10.1, (3 1 1); 38.37 deg, 2.346 Å, I = 9.9, (1 3 3); 39.57 deg, 2.278 Å, I = 28.0, (0 4 0); 41.43 deg, 2.179 Å, I = 100.0, (2 2 4); 43.52 deg, 2.079 Å, I = 21.8, (4 0 0); 49.71 deg, 1.834 Å, I = 15.4, (0 4 4); 60.26 deg, 1.536 Å, I = 15.8, (4 4 0); 68.18 deg, 1.375 Å, I = 10.2, (4 4 4)



Entry 2:
Simulated X-ray powder pattern
Compound: KIn2MoPd
Radiation: Cu Kα
Structure: the PBE geometry in Alexandria

Atomic structure:
abc: 5.315 5.315 5.969
angles: 90.00 90.00 90.00
Space group P4/mmm (No. 123)
Inequivalent atoms, fractional coordinates:
K: 0.000 0.000 0.000 (multiplicity 1)
In: 0.000 0.500 0.500 (multiplicity 2)
Mo: 0.000 0.000 0.500 (multiplicity 1)
Pd: 0.500 0.500 0.000 (multiplicity 1)

Principal peaks in the range 2θ = 5–70°, sorted by position:
14.84 deg, 5.969 Å, I = 45.1, (0 0 1); 22.40 deg, 3.970 Å, I = 58.8, (1 0 1); 28.06 deg, 3.180 Å, I = 100.0, (1 1 1); 29.94 deg, 2.985 Å, I = 60.2, (0 0 2); 33.73 deg, 2.658 Å, I = 87.3, (2 0 0); 37.03 deg, 2.428 Å, I = 19.6, (2 0 1); 40.86 deg, 2.208 Å, I = 24.4, (2 1 1); 45.71 deg, 1.985 Å, I = 72.6, (2 0 2); 48.44 deg, 1.879 Å, I = 30.4, (2 2 0); 52.00 deg, 1.758 Å, I = 17.2, (1 1 3); 56.91 deg, 1.618 Å, I = 25.9, (3 1 1); 58.00 deg, 1.590 Å, I = 34.8, (2 2 2)



Entry 3:
Simulated X-ray powder pattern
Compound: La2CuB3Pt12
Radiation: Cu Kα
Structure: the PBE geometry in Alexandria

Atomic structure:
abc: 7.9648 7.9648 17.4790
angles: 90.00 90.00 120.00
Space group R-3m (No. 166, hexagonal axes)
Inequivalent atoms, fractional coordinates:
La: 0.0000 0.0000 0.1109 (multiplicity 6)
Cu: 0.0000 0.0000 0.5000 (multiplicity 3)
B: 0.0000 0.5000 0.0000 (multiplicity 9)
Pt: 0.0035 0.5018 0.1202 (multiplicity 18)
Pt: 0.0578 0.5289 0.3548 (multiplicity 18)

Principal peaks in the range 2θ = 5–70°, sorted by position:
24.11 deg, 3.691 Å, I = 7.2, (1 0 4); 33.09 deg, 2.707 Å, I = 100.0, (0 2 4); 34.79 deg, 2.579 Å, I = 7.8, (2 1 1); 35.95 deg, 2.498 Å, I = 12.3, (1 2 2); 36.60 deg, 2.455 Å, I = 19.2, (2 0 5); 40.28 deg, 2.239 Å, I = 12.5, (2 1 4); 45.56 deg, 1.991 Å, I = 44.0, (2 2 0); 46.78 deg, 1.942 Å, I = 7.2, (0 0 9); 49.38 deg, 1.846 Å, I = 25.5, (2 0 8); 57.45 deg, 1.604 Å, I = 14.1, (4 0 4); 67.35 deg, 1.390 Å, I = 12.1, (2 2 9); 69.43 deg, 1.354 Å, I = 8.5, (0 4 8)



Entry 4:
Simulated X-ray powder pattern
Compound: PrErPt2
Radiation: Cu Kα
Structure: the PBE geometry in Alexandria

Atomic structure:
abc: 4.531 3.844 10.726
angles: 90.00 90.00 90.00
Space group Amm2 (No. 38)
Inequivalent atoms, fractional coordinates:
Pr: 0.000 0.000 0.000 (multiplicity 2)
Er: 0.500 0.000 0.275 (multiplicity 2)
Pt: 0.000 0.000 0.728 (multiplicity 2)
Pt: 0.500 0.000 0.553 (multiplicity 2)

Principal peaks in the range 2θ = 5–70°, sorted by position:
31.64 deg, 2.828 Å, I = 83.8, (1 1 1); 33.41 deg, 2.682 Å, I = 25.8, (0 0 4); 34.25 deg, 2.618 Å, I = 9.8, (0 1 3); 39.03 deg, 2.308 Å, I = 20.7, (1 0 4); 39.77 deg, 2.266 Å, I = 100.0, (2 0 0); 47.30 deg, 1.922 Å, I = 20.0, (0 2 0); 52.91 deg, 1.731 Å, I = 16.2, (2 0 4); 59.14 deg, 1.562 Å, I = 10.2, (0 2 4); 62.93 deg, 1.477 Å, I = 10.3, (1 2 4); 63.47 deg, 1.466 Å, I = 14.7, (2 2 0); 65.58 deg, 1.423 Å, I = 9.7, (0 1 7); 67.16 deg, 1.394 Å, I = 9.8, (3 1 1)